# 1
Cs2AgAsO4: simulated powder XRD pattern (CuKα), based on a GGA-PBE-relaxed structure.
No peak broadening, texture or thermal motion is included.

Peak list (8 most intense, 2θ from 15° to 90°, sorted by position)
| index | two_theta | I (rel.) |
| --- | --- | --- |
| 1 1 3 | 20.81 | 55 |
| 0 2 6 | 28.59 | 100 |
| 0 4 0 | 28.77 | 46 |
| 1 3 3 | 29.19 | 36 |
| 1 3 5 | 33.64 | 28 |
| 2 2 0 | 33.89 | 63 |
| 2 0 6 | 39.66 | 48 |
| 2 4 6 | 49.73 | 42 |

Crystal structure
Lattice parameters (Å, degrees): 5.8477 12.4116 21.6752 90.00 90.00 90.00
Space group Fddd (No. 70, origin choice 2)
Unique sites:
Cs1 0.1250 0.1250 0.3011 [16 per cell]
Ag1 0.1250 0.1250 0.1250 [8 per cell]
As1 0.1250 0.1250 0.6250 [8 per cell]
O1 0.0522 0.2924 0.8312 [32 per cell]


# 2
Cs2AgAsS4: simulated powder XRD pattern (CuKα), based on a GGA-PBE-relaxed structure.
No peak broadening, texture or thermal motion is included.

Peak list (8 most intense, 2θ from 15° to 90°, sorted by position)
| index | two_theta | I (rel.) |
| --- | --- | --- |
| 1 -1 1 | 23.13 | 73 |
| 1 0 -2 | 23.70 | 67 |
| 1 2 1 | 24.77 | 100 |
| 2 1 2 | 26.94 | 54 |
| 2 0 0 | 27.86 | 100 |
| 0 1 -3 | 30.69 | 40 |
| 1 1 4 | 31.11 | 48 |
| 0 2 3 | 32.01 | 48 |

Crystal structure
Lattice parameters (Å, degrees): 6.9667 7.3354 11.6193 72.34 72.86 70.35
Space group P-1 (No. 2)
Unique sites:
Cs1 0.2433 0.2683 0.0966 [2 per cell]
Cs2 0.2571 0.0272 0.6821 [2 per cell]
Ag1 0.1279 0.5982 0.5852 [2 per cell]
As1 0.3647 0.6308 0.2742 [2 per cell]
S1 0.2427 0.8510 0.3899 [2 per cell]
S2 0.2515 0.7614 0.1037 [2 per cell]
S3 0.2626 0.3601 0.3799 [2 per cell]
S4 0.2880 0.4510 0.7706 [2 per cell]


# 3
CsAgAsSe3: simulated powder XRD pattern (CuKα), based on a GGA-PBE-relaxed structure.
No peak broadening, texture or thermal motion is included.

Peak list (8 most intense, 2θ from 15° to 90°, sorted by position)
| index | two_theta | I (rel.) |
| --- | --- | --- |
| 0 0 2 | 22.06 | 34 |
| 4 0 -1 | 26.85 | 61 |
| 2 2 0 | 27.16 | 75 |
| 2 2 -1 | 27.33 | 100 |
| 2 0 -3 | 31.24 | 37 |
| 0 4 0 | 46.98 | 26 |
| 6 2 -1 | 47.52 | 56 |
| 2 2 -4 | 48.37 | 38 |

Crystal structure
Lattice parameters (Å, degrees): 13.2899 7.7363 8.6243 90.00 110.85 90.00
Space group C2/m (No. 12)
Unique sites:
Cs1 0.1960 0.0000 0.2244 [4 per cell]
Ag1 0.0000 0.2424 0.5000 [4 per cell]
As1 0.0243 0.5000 0.1581 [4 per cell]
Se1 0.0672 0.2458 0.8085 [8 per cell]
Se2 0.2072 0.5000 0.2899 [4 per cell]


# 4
CuAg2As2: simulated powder XRD pattern (CuKα), based on a GGA-PBE-relaxed structure.
No peak broadening, texture or thermal motion is included.

Peak list (8 most intense, 2θ from 15° to 90°, sorted by position)
| index | two_theta | I (rel.) |
| --- | --- | --- |
| 2 0 0 | 27.89 | 13 |
| 2 0 1 | 34.31 | 27 |
| 2 1 1 | 37.16 | 100 |
| 0 0 2 | 39.71 | 28 |
| 3 1 0 | 44.82 | 24 |
| 3 1 2 | 61.41 | 18 |
| 4 1 1 | 63.38 | 17 |
| 2 1 3 | 70.40 | 14 |

Crystal structure
Lattice parameters (Å, degrees): 6.3946 6.3946 4.5394 90.00 90.00 90.00
Space group P4/mbm (No. 127)
Unique sites:
Cu1 0.0000 0.0000 0.0000 [2 per cell]
Ag1 0.1810 0.3190 0.5000 [4 per cell]
As1 0.1434 0.6434 0.0000 [4 per cell]


# 5
Cu2AgAs: simulated powder XRD pattern (CuKα), based on a GGA-PBE-relaxed structure.
No peak broadening, texture or thermal motion is included.

Peak list (8 most intense, 2θ from 15° to 90°, sorted by position)
| index | two_theta | I (rel.) |
| --- | --- | --- |
| 1 1 1 | 37.98 | 100 |
| 2 0 -2 | 38.69 | 47 |
| 4 0 0 | 43.88 | 33 |
| 2 0 2 | 46.02 | 27 |
| 3 1 -1 | 46.24 | 57 |
| 1 1 -3 | 63.53 | 19 |
| 5 1 1 | 70.95 | 14 |
| 2 2 -2 | 76.17 | 12 |

Crystal structure
Lattice parameters (Å, degrees): 8.3995 2.9631 5.0544 90.00 100.70 90.00
Space group C2/m (No. 12)
Unique sites:
Cu1 0.2452 0.0000 0.2244 [4 per cell]
Ag1 0.0000 0.0000 0.5000 [2 per cell]
As1 0.0000 0.5000 0.0000 [2 per cell]


# 6
Cu2AgAs4: simulated powder XRD pattern (CuKα), based on a GGA-PBE-relaxed structure.
No peak broadening, texture or thermal motion is included.

Peak list (8 most intense, 2θ from 15° to 90°, sorted by position)
| index | two_theta | I (rel.) |
| --- | --- | --- |
| 1 1 0 | 25.86 | 52 |
| 0 0 4 | 27.05 | 37 |
| 2 0 0 | 36.90 | 100 |
| 1 0 5 | 38.84 | 55 |
| 2 0 4 | 46.35 | 34 |
| 1 1 6 | 49.18 | 26 |
| 2 2 0 | 53.17 | 34 |
| 2 1 5 | 54.64 | 39 |

Crystal structure
Lattice parameters (Å, degrees): 4.8724 4.8724 13.1833 90.00 90.00 90.00
Space group I4/mmm (No. 139)
Unique sites:
Cu1 0.0000 0.0000 0.0915 [4 per cell]
Ag1 0.0000 0.0000 0.5000 [2 per cell]
As1 0.0000 0.0000 0.2649 [4 per cell]
As2 0.0000 0.5000 0.0000 [4 per cell]


# 7
CuAgAs2H3O8: simulated powder XRD pattern (CuKα), based on a GGA-PBE-relaxed structure.
No peak broadening, texture or thermal motion is included.

Peak list (8 most intense, 2θ from 15° to 90°, sorted by position)
| index | two_theta | I (rel.) |
| --- | --- | --- |
| 2 0 -2 | 23.22 | 56 |
| 1 2 0 | 24.56 | 31 |
| 1 1 2 | 25.89 | 47 |
| 0 2 2 | 29.40 | 100 |
| 1 1 -3 | 29.57 | 31 |
| 3 1 0 | 31.53 | 71 |
| 3 1 -2 | 32.58 | 58 |
| 3 2 -2 | 38.25 | 26 |

Crystal structure
Lattice parameters (Å, degrees): 9.4537 7.8994 9.8455 90.00 105.24 90.00
Space group P2_1/c (No. 14)
Unique sites:
Cu1 0.0956 0.1812 0.0086 [4 per cell]
Ag1 0.2669 0.7361 0.5199 [4 per cell]
As1 0.0300 0.5030 0.2043 [4 per cell]
As2 0.4306 0.1866 0.1815 [4 per cell]
H1 0.2072 0.5043 0.7731 [4 per cell]
H2 0.4332 0.0474 0.8479 [4 per cell]
H3 0.4326 0.1693 0.4815 [4 per cell]
O1 0.0602 0.6869 0.1215 [4 per cell]
O2 0.0757 0.5218 0.3862 [4 per cell]
O3 0.1258 0.1642 0.6657 [4 per cell]
O4 0.1630 0.5352 0.8521 [4 per cell]
O5 0.2776 0.0591 0.1329 [4 per cell]
O6 0.4170 0.5813 0.3479 [4 per cell]
O7 0.4202 0.1330 0.5771 [4 per cell]
O8 0.4710 0.2400 0.8502 [4 per cell]


# 8
Cu4AgAs3O12: simulated powder XRD pattern (CuKα), based on a GGA-PBE-relaxed structure.
No peak broadening, texture or thermal motion is included.

Peak list (8 most intense, 2θ from 15° to 90°, sorted by position)
| index | two_theta | I (rel.) |
| --- | --- | --- |
| 1 1 -2 | 24.95 | 39 |
| 0 0 2 | 26.81 | 47 |
| 4 0 -2 | 31.13 | 52 |
| 1 3 -2 | 32.18 | 34 |
| 2 4 0 | 33.05 | 100 |
| 4 0 0 | 33.34 | 44 |
| 2 0 -4 | 48.94 | 26 |
| 6 4 -2 | 53.58 | 28 |

Crystal structure
Lattice parameters (Å, degrees): 12.2654 12.5559 7.5864 90.00 118.77 90.00
Space group C2/c (No. 15)
Unique sites:
Cu1 0.0000 0.0067 0.2500 [4 per cell]
Cu2 0.0000 0.2355 0.7500 [4 per cell]
Cu3 0.2222 0.3427 0.6420 [8 per cell]
Ag1 0.0000 0.4888 0.2500 [4 per cell]
As1 0.0000 0.2267 0.2500 [4 per cell]
As2 0.2273 0.3807 0.1163 [8 per cell]
O1 0.0455 0.2998 0.4646 [8 per cell]
O2 0.1037 0.1231 0.2615 [8 per cell]
O3 0.1155 0.1110 0.8255 [8 per cell]
O4 0.1455 0.3314 0.8736 [8 per cell]
O5 0.1657 0.4943 0.6081 [8 per cell]
O6 0.2203 0.3063 0.3021 [8 per cell]


# 9
CuAg2AsSe4: simulated powder XRD pattern (CuKα), based on a GGA-PBE-relaxed structure.
No peak broadening, texture or thermal motion is included.

Peak list (8 most intense, 2θ from 15° to 90°, sorted by position)
| index | two_theta | I (rel.) |
| --- | --- | --- |
| 0 2 1 | 26.35 | 100 |
| 4 0 -2 | 42.51 | 25 |
| 2 4 0 | 44.30 | 46 |
| 4 2 -1 | 50.71 | 29 |
| 2 6 -1 | 53.81 | 13 |
| 4 0 -4 | 61.69 | 7 |
| 2 6 1 | 70.88 | 10 |
| 6 4 -2 | 79.05 | 14 |

Crystal structure
Lattice parameters (Å, degrees): 8.5067 11.1556 6.0122 90.00 134.98 90.00
Space group C2 (No. 5)
Unique sites:
Cu1 0.0000 0.0000 0.0000 [2 per cell]
Ag1 0.0000 0.2495 0.5000 [2 per cell]
Ag2 0.0000 0.4989 0.0000 [2 per cell]
As1 0.0000 0.7495 0.5000 [2 per cell]
Se1 0.2150 0.8774 0.4658 [4 per cell]
Se2 0.2485 0.6213 0.9638 [4 per cell]


# 10
Ag3AsF12: simulated powder XRD pattern (CuKα), based on a GGA-PBE-relaxed structure.
No peak broadening, texture or thermal motion is included.

Peak list (8 most intense, 2θ from 15° to 90°, sorted by position)
| index | two_theta | I (rel.) |
| --- | --- | --- |
| 0 0 2 | 22.12 | 100 |
| 1 1 0 | 22.30 | 96 |
| 1 -1 0 | 22.81 | 91 |
| 1 1 2 | 30.07 | 35 |
| 0 2 0 | 31.17 | 32 |
| -1 1 2 | 31.43 | 28 |
| 1 -1 2 | 32.54 | 20 |
| 2 0 0 | 33.05 | 33 |

Crystal structure
Lattice parameters (Å, degrees): 5.4311 5.7648 8.0775 84.68 87.59 88.50
Space group P-1 (No. 2)
Unique sites:
Ag1 0.0000 0.0000 0.0000 [1 per cell]
Ag2 0.0000 0.0000 0.5000 [1 per cell]
Ag3 0.5000 0.5000 0.0000 [1 per cell]
As1 0.5000 0.5000 0.5000 [1 per cell]
F1 0.0759 0.9952 0.7523 [2 per cell]
F2 0.1827 0.6615 0.0597 [2 per cell]
F3 0.2548 0.3509 0.4188 [2 per cell]
F4 0.3303 0.5089 0.6898 [2 per cell]
F5 0.3408 0.1935 0.0417 [2 per cell]
F6 0.3633 0.7738 0.4254 [2 per cell]


# 11
AgAsF4: simulated powder XRD pattern (CuKα), based on a GGA-PBE-relaxed structure.
No peak broadening, texture or thermal motion is included.

Peak list (8 most intense, 2θ from 15° to 90°, sorted by position)
| index | two_theta | I (rel.) |
| --- | --- | --- |
| 0 1 0 | 20.04 | 32 |
| 2 0 0 | 22.47 | 100 |
| 0 1 1 | 24.92 | 75 |
| 0 0 2 | 29.57 | 41 |
| 2 1 1 | 33.80 | 53 |
| 2 0 2 | 37.45 | 53 |
| 0 2 1 | 43.50 | 37 |
| 2 2 1 | 49.50 | 36 |

Crystal structure
Lattice parameters (Å, degrees): 7.9134 4.4315 6.0428 90.00 90.00 90.00
Space group Pmn2_1 (No. 31)
Unique sites:
Ag1 0.0000 0.1311 0.0000 [2 per cell]
As1 0.0000 0.8135 0.4498 [2 per cell]
F1 0.0000 0.4232 0.5223 [2 per cell]
F2 0.0000 0.6198 0.0969 [2 per cell]
F3 0.1695 0.8822 0.6496 [4 per cell]